Diffraction record for HfGa4Au. The powder diffractogram is computed, not measured: it uses a GGA-PBE-relaxed structure and Cu Kα.
Lines closer than 0.1° are merged.

Peak list (10 most intense, 10 to 90 degrees two-theta, most intense first)
h k l, 2θ (°), Rel. int.
1 0 3, 40.07, 100
1 1 0, 36.64, 65
2 1 3, 68.28, 41
1 0 1, 27.61, 34
2 0 0, 52.78, 23
1 1 6, 75.00, 15
0 0 2, 20.02, 13
2 0 6, 86.49, 11
3 1 0, 89.31, 11
1 1 2, 42.10, 9

Structure:
```
data_HfGa4Au
_chemical_formula_sum 'Hf1 Ga4 Au1'
_cell_length_a 3.469
_cell_length_b 3.469
_cell_length_c 8.872
_cell_angle_alpha 90.00
_cell_angle_beta 90.00
_cell_angle_gamma 90.00
_space_group_name_H-M_alt 'P 4/m m m'
_space_group_IT_number 123
_space_group_name_Hall '-P 4 2'
loop_
_atom_site_label
_atom_site_type_symbol
_atom_site_fract_x
_atom_site_fract_y
_atom_site_fract_z
_atom_site_occupancy
Hf1 Hf 0.000 0.000 0.000 1
Ga1 Ga 0.000 0.000 0.335 1
Ga2 Ga 0.500 0.500 0.183 1
Au1 Au 0.500 0.500 0.500 1
```